1.
This entry pairs a crystal structure of MnNbCd2O6 with its theoretical XRD peak list. Radiation: λ = 1.5418 Å (Cu Kα). Structure: a GGA+U-relaxed structure.

a b c (Å): 9.745 5.568 5.359
angles (deg): 90.00 122.35 90.00
Space group C2 (No. 5)
One atom of each set of equivalent atoms:
Mn (0.000, 0.000, 0.000)
Nb (0.000, 0.500, 0.500)
Cd (0.249, 0.001, 0.777)
O (0.064, 0.755, 0.818)
O (0.065, 0.244, 0.820)
O (0.229, 0.496, 0.606)

Principal peaks in the range 2θ = 15–90°, in order of falling intensity:
two_theta, I (rel.), h k l
31.6, 1000, 1 1 1
32.0, 880, 3 1 -1
47.1, 443, 2 2 -2
32.1, 437, 0 2 0
33.4, 294, 2 0 -2
56.9, 268, 6 0 -2


2.
This entry pairs a crystal structure of Nd2MnCdO5 with its theoretical XRD peak list. Radiation: λ = 1.5418 Å (Cu Kα). Structure: a GGA+U-relaxed structure.

a b c (Å): 6.827 6.827 5.742
angles (deg): 90.00 90.00 90.00
Space group P4/mbm (No. 127)
One atom of each set of equivalent atoms:
Nd (0.178, 0.322, 0.000)
Mn (0.000, 0.500, 0.500)
Cd (0.000, 0.000, 0.500)
O (0.000, 0.000, 0.000)
O (0.133, 0.633, 0.255)

Principal peaks in the range 2θ = 15–90°, in order of falling intensity:
two_theta, I (rel.), h k l
30.5, 1000, 2 0 1
33.2, 610, 2 1 1
43.3, 433, 2 1 2
31.2, 357, 0 0 2
29.3, 234, 2 1 0
37.3, 233, 2 2 0